Li2Tm2Ni15: simulated X-ray diffraction stick pattern (λ = 1.5418 Å (Cu Kα)), based on the GGA-PBE geometry in OQMD.

Principal peaks in the range 10° ≤ 2θ ≤ 90°, low angle first:
2θ/deg, Rel. int., index
14.4, 23, 1 0 1
31.1, 38, 1 1 3
37.7, 26, 3 0 0
43.9, 38, 2 2 0
44.2, 100, 0 3 3
45.3, 31, 0 0 6
49.7, 16, 2 2 3
64.9, 18, 2 2 6
72.6, 19, 3 3 3
80.6, 15, 6 0 0

Structural model:
abc: 8.2566 8.2566 12.0189
angles: 90.00 90.00 120.00
Space group R-3m (No. 166, hexagonal axes)
Inequivalent atoms, fractional coordinates:
Li (0.0000, 0.0000, 0.0939) (multiplicity 6)
Tm (0.0000, 0.0000, 0.3439) (multiplicity 6)
Ni (0.0000, 0.3066, 0.0000) (multiplicity 18)
Ni (0.0000, 0.5000, 0.5000) (multiplicity 9)
Ni (0.0022, 0.5011, 0.1572) (multiplicity 18)

=====

KCuSiTe2Se: simulated X-ray diffraction stick pattern (λ = 1.5418 Å (Cu Kα)), based on the GGA-PBE geometry in OQMD.

Principal peaks in the range 10° ≤ 2θ ≤ 90°, low angle first:
2θ/deg, Rel. int., index
11.4, 63, 0 2 0
24.1, 35, 1 1 0
27.4, 35, 0 2 3
28.4, 100, 0 4 2
29.2, 62, 1 3 0
29.3, 41, 1 1 2
30.3, 79, 1 3 1
33.3, 57, 0 0 4
33.7, 42, 1 3 2
51.9, 43, 1 3 5

Structural model:
abc: 3.8060 15.4777 10.7658
angles: 90.00 90.00 90.00
Space group Cmcm (No. 63)
Inequivalent atoms, fractional coordinates:
K (0.0000, 0.2346, 0.2500) (multiplicity 4)
Cu (0.0000, 0.0519, 0.7500) (multiplicity 4)
Si (0.0000, 0.5000, 0.0000) (multiplicity 4)
Te (0.0000, 0.1256, 0.5351) (multiplicity 8)
Se (0.0000, 0.4551, 0.7500) (multiplicity 4)

=====

GeB4Pt: simulated X-ray diffraction stick pattern (λ = 1.5418 Å (Cu Kα)), based on the GGA-PBE geometry in OQMD.

Principal peaks in the range 10° ≤ 2θ ≤ 90°, low angle first:
2θ/deg, Rel. int., index
20.5, 53, 0 1 1
24.9, 67, 0 0 2
32.0, 18, 1 0 1
32.9, 40, 0 2 0
33.7, 74, 1 1 0
41.7, 52, 0 2 2
42.4, 100, 1 1 2
59.2, 20, 1 3 0
62.7, 26, 1 1 4
65.3, 20, 1 3 2

Structural model:
abc: 3.0452 5.4495 7.1379
angles: 90.00 90.00 90.00
Space group Immm (No. 71)
Inequivalent atoms, fractional coordinates:
Ge (0.0000, 0.0000, 0.0000) (multiplicity 2)
B (0.0000, 0.3355, 0.2499) (multiplicity 8)
Pt (0.0000, 0.0000, 0.5000) (multiplicity 2)